Diffraction record for K2Cr4CoH4O16. The powder diffraction line list is theoretical, not measured: it uses a DFT-relaxed cell (GGA+U, Alexandria) and λ = 1.5418 Å (Cu Kα).

Largest 10 diffraction maxima, by angle, 2θ = 10–90°:
hkl	2θ/deg	I (rel.)
1 0 0	14.39	53
1 0 -1	19.15	33
1 1 2	24.70	100
1 -1 1	24.95	55
-1 1 1	26.13	55
1 2 -1	26.84	55
0 2 -1	28.17	59
2 2 0	29.29	33
2 1 -1	29.86	31
3 1 -1	43.26	27

Unit cell a=6.891 b=7.768 c=8.144 alpha=84.91 beta=81.69 gamma=64.12
Space group P-1 (No. 2)
Unique sites:
K (0.054, 0.253, 0.320)
Cr (0.279, 0.996, 0.841)
Cr (0.447, 0.294, 0.667)
Co (0.500, 0.500, 0.000)
H (0.088, 0.662, 0.111)
H (0.225, 0.614, 0.264)
O (0.123, 0.157, 0.978)
O (0.136, 0.003, 0.697)
O (0.212, 0.558, 0.163)
O (0.275, 0.357, 0.532)
O (0.318, 0.717, 0.415)
O (0.345, 0.450, 0.819)
O (0.391, 0.781, 0.927)
O (0.493, 0.059, 0.748)